No. 1
Starting from DFT lattice parameters and positions (GGA-PBE), the powder diffraction line list of Li2IrO3 was computed for Cu Kα X-rays.
Peak positions follow from Bragg's law for the DFT cell and can differ from measured ones.

Principal peaks in the range 15 to 90 degrees two-theta, sorted by position:
two_theta, intensity
18.94, 100
23.38, 19
30.90, 31
35.81, 20
42.79, 29
62.35, 18

Cell and atoms:
Cell: 9.9418 9.4903 5.1442 Å, 79.56 69.85 30.59°
Positions (direct):
Li (0.0443, 0.0443, 0.2057)
Li (0.1241, 0.1241, 0.6259)
Li (0.2057, 0.2057, 0.0443)
Li (0.3741, 0.3741, 0.8759)
Li (0.6259, 0.6259, 0.1241)
Li (0.7943, 0.7943, 0.9557)
Li (0.8759, 0.8759, 0.3741)
Li (0.9557, 0.9557, 0.7943)
Ir (0.2903, 0.2903, 0.4597)
Ir (0.4597, 0.4597, 0.2903)
Ir (0.5403, 0.5403, 0.7097)
Ir (0.7097, 0.7097, 0.5403)
O (0.0435, 0.5362, 0.2188)
O (0.1417, 0.6083, 0.6083)
O (0.2188, 0.7015, 0.0435)
O (0.2985, 0.7812, 0.4638)
O (0.3917, 0.8583, 0.8583)
O (0.4638, 0.9565, 0.2985)
O (0.5362, 0.0435, 0.7015)
O (0.6083, 0.1417, 0.1417)
O (0.7015, 0.2188, 0.5362)
O (0.7812, 0.2985, 0.9565)
O (0.8583, 0.3917, 0.3917)
O (0.9565, 0.4638, 0.7812)


No. 2
Starting from DFT lattice parameters and positions (GGA-PBE), the powder diffraction line list of Pr3MgNi14 was computed for Cu Kα X-rays.
Peak positions follow from Bragg's law for the DFT cell and can differ from measured ones.

Principal peaks in the range 15 to 90 degrees two-theta, sorted by position:
two_theta, intensity
32.28, 23
36.03, 33
41.92, 30
42.68, 100
45.10, 22
69.35, 22

Cell and atoms:
Cell: 12.4013 12.4013 12.4013 Å, 23.19 23.19 23.19°
Positions (direct):
Pr (0.0000, 0.0000, 0.0000)
Pr (0.0987, 0.0987, 0.0987)
Pr (0.8921, 0.8921, 0.8921)
Mg (0.8015, 0.8015, 0.8015)
Ni (0.0573, 0.5598, 0.5598)
Ni (0.2263, 0.2263, 0.2263)
Ni (0.3372, 0.3372, 0.3372)
Ni (0.3375, 0.3375, 0.8374)
Ni (0.3375, 0.8374, 0.3375)
Ni (0.4479, 0.4479, 0.9489)
Ni (0.4479, 0.9489, 0.4479)
Ni (0.4492, 0.4492, 0.4492)
Ni (0.5598, 0.0573, 0.5598)
Ni (0.5598, 0.5598, 0.0573)
Ni (0.5603, 0.5603, 0.5603)
Ni (0.6704, 0.6704, 0.6704)
Ni (0.8374, 0.3375, 0.3375)
Ni (0.9489, 0.4479, 0.4479)


No. 3
Starting from DFT lattice parameters and positions (GGA-PBE), the powder diffraction line list of BaGeS3 was computed for Cu Kα X-rays.
Peak positions follow from Bragg's law for the DFT cell and can differ from measured ones.

Principal peaks in the range 15 to 90 degrees two-theta, sorted by position:
two_theta, intensity
21.06, 100
23.02, 47
25.26, 61
30.64, 66
31.18, 35
40.11, 35

Cell and atoms:
Cell: 15.6267 5.8351 13.5511 Å, 90.00 115.49 90.00°
Positions (direct):
Ba (0.1365, 0.2405, 0.1062)
Ba (0.1365, 0.2595, 0.6062)
Ba (0.3630, 0.7469, 0.4697)
Ba (0.3630, 0.7531, 0.9697)
Ba (0.6370, 0.2469, 0.0303)
Ba (0.6370, 0.2531, 0.5303)
Ba (0.8635, 0.7405, 0.3938)
Ba (0.8635, 0.7595, 0.8938)
Ge (0.0749, 0.6555, 0.3069)
Ge (0.0749, 0.8445, 0.8069)
Ge (0.4254, 0.1593, 0.7334)
Ge (0.4254, 0.3407, 0.2334)
Ge (0.5746, 0.6593, 0.7666)
Ge (0.5746, 0.8407, 0.2666)
Ge (0.9251, 0.1555, 0.1931)
Ge (0.9251, 0.3445, 0.6931)
S (0.0749, 0.2392, 0.8136)
S (0.0749, 0.2608, 0.3136)
S (0.1006, 0.7484, 0.4738)
S (0.1006, 0.7516, 0.9738)
S (0.1791, 0.7375, 0.2444)
S (0.1791, 0.7625, 0.7444)
S (0.3216, 0.2433, 0.5674)
S (0.3216, 0.2567, 0.0674)
S (0.4001, 0.2499, 0.3754)
S (0.4001, 0.2501, 0.8754)
S (0.4247, 0.7352, 0.2386)
S (0.4247, 0.7648, 0.7386)
S (0.5753, 0.2352, 0.2614)
S (0.5753, 0.2648, 0.7614)
S (0.5999, 0.7499, 0.1246)
S (0.5999, 0.7501, 0.6246)
S (0.6784, 0.7433, 0.9326)
S (0.6784, 0.7567, 0.4326)
S (0.8209, 0.2375, 0.2556)
S (0.8209, 0.2625, 0.7556)
S (0.8994, 0.2484, 0.0262)
S (0.8994, 0.2516, 0.5262)
S (0.9251, 0.7392, 0.6864)
S (0.9251, 0.7608, 0.1864)


No. 4
Starting from DFT lattice parameters and positions (GGA-PBE), the powder diffraction line list of LiLaMg6 was computed for Cu Kα X-rays.
Peak positions follow from Bragg's law for the DFT cell and can differ from measured ones.

Principal peaks in the range 15 to 90 degrees two-theta, sorted by position:
two_theta, intensity
15.24, 76
22.94, 68
26.54, 22
31.71, 28
34.47, 23
35.37, 100

Cell and atoms:
Cell: 5.2031 6.7216 6.7216 Å, 59.79 90.00 90.00°
Positions (direct):
Li (0.0000, 0.0000, 0.0000)
La (0.0000, 0.5026, 0.5026)
Mg (0.0000, 0.5139, 0.9983)
Mg (0.0000, 0.9983, 0.5139)
Mg (0.5000, 0.1557, 0.6787)
Mg (0.5000, 0.1688, 0.1688)
Mg (0.5000, 0.6753, 0.6753)
Mg (0.5000, 0.6787, 0.1557)


No. 5
Starting from DFT lattice parameters and positions (GGA-PBE), the powder diffraction line list of Sm3Ag was computed for Cu Kα X-rays.
Peak positions follow from Bragg's law for the DFT cell and can differ from measured ones.

Principal peaks in the range 15 to 90 degrees two-theta, sorted by position:
two_theta, intensity
29.41, 24
33.01, 24
33.82, 100
52.16, 20
59.48, 19
63.13, 21

Cell and atoms:
Cell: 7.0146 7.0146 5.4264 Å, 90.00 90.00 120.00°
Positions (direct):
Sm (0.1740, 0.3480, 0.2500)
Sm (0.1740, 0.8260, 0.2500)
Sm (0.3480, 0.1740, 0.7500)
Sm (0.6520, 0.8260, 0.2500)
Sm (0.8260, 0.1740, 0.7500)
Sm (0.8260, 0.6520, 0.7500)
Ag (0.3333, 0.6667, 0.7500)
Ag (0.6667, 0.3333, 0.2500)


No. 6
Starting from DFT lattice parameters and positions (GGA-PBE), the powder diffraction line list of BaSi3Pd was computed for Cu Kα X-rays.
Peak positions follow from Bragg's law for the DFT cell and can differ from measured ones.

Principal peaks in the range 15 to 90 degrees two-theta, sorted by position:
two_theta, intensity
21.84, 29
28.54, 53
32.88, 100
33.46, 53
40.80, 47
53.36, 49

Cell and atoms:
Cell: 6.0566 6.0566 6.0566 Å, 137.17 137.17 62.18°
Positions (direct):
Ba (0.0000, 0.0000, 0.0000)
Si (0.2536, 0.7536, 0.5000)
Si (0.3890, 0.3890, 0.0000)
Si (0.7536, 0.2536, 0.5000)
Pd (0.6461, 0.6461, 0.0000)


No. 7
Starting from DFT lattice parameters and positions (GGA-PBE), the powder diffraction line list of Cu3As was computed for Cu Kα X-rays.
Peak positions follow from Bragg's law for the DFT cell and can differ from measured ones.

Principal peaks in the range 15 to 90 degrees two-theta, sorted by position:
two_theta, intensity
39.24, 25
41.94, 27
44.73, 100
71.12, 15
78.57, 17
86.14, 18

Cell and atoms:
Cell: 5.3022 5.3022 4.3081 Å, 90.00 90.00 120.00°
Positions (direct):
Cu (0.1631, 0.3263, 0.2500)
Cu (0.1631, 0.8369, 0.2500)
Cu (0.3263, 0.1631, 0.7500)
Cu (0.6737, 0.8369, 0.2500)
Cu (0.8369, 0.1631, 0.7500)
Cu (0.8369, 0.6737, 0.7500)
As (0.3333, 0.6667, 0.7500)
As (0.6667, 0.3333, 0.2500)


No. 8
Starting from DFT lattice parameters and positions (GGA-PBE), the powder diffraction line list of SmSi3Pt5 was computed for Cu Kα X-rays.
Peak positions follow from Bragg's law for the DFT cell and can differ from measured ones.

Principal peaks in the range 15 to 90 degrees two-theta, sorted by position:
two_theta, intensity
27.98, 37
35.98, 100
45.22, 25
45.68, 15
49.50, 15
69.29, 12

Cell and atoms:
Cell: 16.0536 16.0536 4.0092 Å, 90.00 90.00 120.00°
Positions (direct):
Sm (0.0968, 0.7062, 0.2500)
Sm (0.2938, 0.3906, 0.2500)
Sm (0.3906, 0.0968, 0.7500)
Sm (0.6094, 0.9032, 0.2500)
Sm (0.7062, 0.6094, 0.7500)
Sm (0.9032, 0.2938, 0.7500)
Si (0.0609, 0.4341, 0.2500)
Si (0.1170, 0.8679, 0.7500)
Si (0.1321, 0.2491, 0.7500)
Si (0.2328, 0.6818, 0.7500)
Si (0.2491, 0.1170, 0.2500)
Si (0.3182, 0.5510, 0.7500)
Si (0.3732, 0.9391, 0.2500)
Si (0.4341, 0.3732, 0.7500)
Si (0.4490, 0.7672, 0.7500)
Si (0.5510, 0.2328, 0.2500)
Si (0.5659, 0.6268, 0.2500)
Si (0.6268, 0.0609, 0.7500)
Si (0.6818, 0.4490, 0.2500)
Si (0.7509, 0.8830, 0.7500)
Si (0.7672, 0.3182, 0.2500)
Si (0.8679, 0.7509, 0.2500)
Si (0.8830, 0.1321, 0.2500)
Si (0.9391, 0.5659, 0.7500)
Pt (0.0316, 0.8819, 0.2500)
Pt (0.0405, 0.2759, 0.2500)
Pt (0.0765, 0.5423, 0.7500)
Pt (0.1181, 0.1497, 0.2500)
Pt (0.1497, 0.0316, 0.7500)
Pt (0.1561, 0.4115, 0.7500)
Pt (0.2297, 0.5646, 0.2500)
Pt (0.2354, 0.9595, 0.2500)
Pt (0.2554, 0.8439, 0.7500)
Pt (0.2759, 0.2354, 0.7500)
Pt (0.3349, 0.7703, 0.2500)
Pt (0.4115, 0.2554, 0.2500)
Pt (0.4354, 0.6651, 0.2500)
Pt (0.4577, 0.5342, 0.7500)
Pt (0.4658, 0.9235, 0.7500)
Pt (0.5342, 0.0765, 0.2500)
Pt (0.5423, 0.4658, 0.2500)
Pt (0.5646, 0.3349, 0.7500)
Pt (0.5885, 0.7446, 0.7500)
Pt (0.6651, 0.2297, 0.7500)
Pt (0.7241, 0.7646, 0.2500)
Pt (0.7446, 0.1561, 0.2500)
Pt (0.7646, 0.0405, 0.7500)
Pt (0.7703, 0.4354, 0.7500)
Pt (0.8439, 0.5885, 0.2500)
Pt (0.8503, 0.9684, 0.2500)
Pt (0.8819, 0.8503, 0.7500)
Pt (0.9235, 0.4577, 0.2500)
Pt (0.9595, 0.7241, 0.7500)
Pt (0.9684, 0.1181, 0.7500)


No. 9
Starting from DFT lattice parameters and positions (GGA-PBE), the powder diffraction line list of Li2PrAs2 was computed for Cu Kα X-rays.
Peak positions follow from Bragg's law for the DFT cell and can differ from measured ones.

Principal peaks in the range 15 to 90 degrees two-theta, sorted by position:
two_theta, intensity
27.03, 100
34.99, 66
41.93, 39
45.57, 26
50.60, 18
55.72, 17

Cell and atoms:
Cell: 4.3093 4.3093 7.0592 Å, 90.00 90.00 120.00°
Positions (direct):
Li (0.3333, 0.6667, 0.3765)
Li (0.6667, 0.3333, 0.6235)
Pr (0.0000, 0.0000, 0.0000)
As (0.3333, 0.6667, 0.7545)
As (0.6667, 0.3333, 0.2455)


No. 10
Starting from DFT lattice parameters and positions (GGA-PBE), the powder diffraction line list of Ba2YSn2F11 was computed for Cu Kα X-rays.
Peak positions follow from Bragg's law for the DFT cell and can differ from measured ones.

Principal peaks in the range 15 to 90 degrees two-theta, sorted by position:
two_theta, intensity
22.18, 50
22.67, 75
25.04, 93
26.00, 86
27.50, 94
28.10, 100

Cell and atoms:
Cell: 8.1431 8.1431 14.6112 Å, 90.00 90.00 120.00°
Positions (direct):
Ba (0.0169, 0.1552, 0.0000)
Ba (0.1383, 0.9831, 0.3333)
Ba (0.4527, 0.1841, 0.8238)
Ba (0.7314, 0.5473, 0.1571)
Ba (0.8159, 0.2686, 0.4905)
Ba (0.8448, 0.8617, 0.6667)
Y (0.1897, 0.4788, 0.2234)
Y (0.2891, 0.8103, 0.5567)
Y (0.5212, 0.7109, 0.8900)
Sn (0.0812, 0.4352, 0.7361)
Sn (0.3540, 0.9188, 0.0694)
Sn (0.3553, 0.3000, 0.5618)
Sn (0.5648, 0.6460, 0.4027)
Sn (0.7000, 0.0553, 0.2284)
Sn (0.9447, 0.6447, 0.8951)
F (0.0371, 0.7639, 0.4886)
F (0.0397, 0.1015, 0.5193)
F (0.0422, 0.7874, 0.0376)
F (0.0618, 0.9603, 0.8526)
F (0.0834, 0.7204, 0.6774)
F (0.1290, 0.7165, 0.2233)
F (0.1635, 0.4961, 0.5830)
F (0.2126, 0.2548, 0.7043)
F (0.2361, 0.2732, 0.1553)
F (0.2796, 0.3630, 0.3441)
F (0.2835, 0.4124, 0.8900)
F (0.2859, 0.6051, 0.0772)
F (0.3192, 0.7141, 0.4106)
F (0.3326, 0.8365, 0.9163)
F (0.3637, 0.1625, 0.9951)
F (0.3779, 0.0709, 0.6439)
F (0.3949, 0.6808, 0.7439)
F (0.4192, 0.0882, 0.4676)
F (0.5039, 0.6674, 0.2497)
F (0.5416, 0.2156, 0.2582)
F (0.5876, 0.8710, 0.5566)
F (0.6370, 0.9166, 0.0108)
F (0.6690, 0.5808, 0.8009)
F (0.6741, 0.4584, 0.5915)
F (0.6931, 0.6221, 0.9772)
F (0.7268, 0.9629, 0.8220)
F (0.7452, 0.9578, 0.3710)
F (0.7844, 0.3259, 0.9248)
F (0.7988, 0.6363, 0.3285)
F (0.8375, 0.2012, 0.6618)
F (0.8985, 0.9382, 0.1859)
F (0.9118, 0.3310, 0.1342)
F (0.9291, 0.3069, 0.3105)